[1]
Mg3Cd8: calculated PXRD pattern (CuKα), based on the GGA-PBE geometry in Alexandria.
No peak broadening, texture or thermal motion is included.

Structure:
Cell lengths 10.2176, 4.4693, 11.1166 Å; angles 90.00, 106.39, 90.00 degrees
Space group C2/m (No. 12)
Asymmetric unit:
Mg: 0.0000 0.0000 0.0000 (multiplicity 2)
Mg: 0.0927 0.0000 0.6399 (multiplicity 4)
Cd: 0.0455 0.5000 0.8193 (multiplicity 4)
Cd: 0.1334 0.5000 0.4576 (multiplicity 4)
Cd: 0.1811 0.0000 0.2733 (multiplicity 4)
Cd: 0.2256 0.5000 0.0913 (multiplicity 4)

Top 12 peaks for 5° ≤ 2θ ≤ 70°, most intense first:
d 2.613, I 100, hkl 3 1 -2
d 2.533, I 92, hkl 1 1 3
d 2.254, I 32, hkl 4 0 1
d 2.235, I 32, hkl 0 2 0
d 2.196, I 30, hkl 2 0 -5
d 1.587, I 21, hkl 4 2 1
d 1.566, I 20, hkl 2 2 -5
d 4.067, I 19, hkl 1 1 0
d 1.372, I 12, hkl 7 1 -1
d 1.346, I 12, hkl 5 1 -7
d 1.352, I 12, hkl 3 3 -2
d 1.610, I 11, hkl 6 0 -4

---

[2]
Mg3Cd4: calculated PXRD pattern (CuKα), based on the GGA-PBE geometry in Alexandria.
No peak broadening, texture or thermal motion is included.

Structure:
Cell lengths 3.3141, 4.2720, 21.6659 Å; angles 90.00, 90.00, 90.00 degrees
Space group Immm (No. 71)
Asymmetric unit:
Mg: 0.0000 0.0000 0.0000 (multiplicity 2)
Mg: 0.0000 0.0000 0.1433 (multiplicity 4)
Cd: 0.0000 0.0000 0.2858 (multiplicity 4)
Cd: 0.0000 0.0000 0.4280 (multiplicity 4)

Top 12 peaks for 5° ≤ 2θ ≤ 70°, most intense first:
d 2.619, I 100, hkl 1 1 0
d 2.506, I 88, hkl 0 1 7
d 2.262, I 65, hkl 1 0 7
d 4.191, I 46, hkl 0 1 1
d 1.553, I 41, hkl 1 2 7
d 2.136, I 27, hkl 0 2 0
d 1.382, I 25, hkl 2 1 7
d 3.276, I 25, hkl 1 0 1
d 3.611, I 16, hkl 0 0 6
d 2.120, I 15, hkl 1 1 6
d 1.657, I 12, hkl 2 0 0
d 10.833, I 12, hkl 0 0 2

---

[3]
Mg14MnCd: calculated PXRD pattern (CuKα), based on the GGA-PBE geometry in Alexandria.
No peak broadening, texture or thermal motion is included.

Structure:
Cell lengths 6.2866, 6.2866, 10.2158 Å; angles 90.00, 90.00, 120.00 degrees
Space group P-6m2 (No. 187)
Asymmetric unit:
Mg: 0.0000 0.0000 0.2480 (multiplicity 2)
Mg: 0.0070 0.5035 0.2426 (multiplicity 6)
Mg: 0.3330 0.1665 0.0000 (multiplicity 3)
Mg: 0.3336 0.1668 0.5000 (multiplicity 3)
Mn: 0.3333 0.6667 0.0000 (multiplicity 1)
Cd: 0.3333 0.6667 0.5000 (multiplicity 1)

Top 12 peaks for 5° ≤ 2θ ≤ 70°, most intense first:
d 2.402, I 100, hkl 2 0 2
d 5.444, I 28, hkl 1 0 0
d 2.722, I 27, hkl 2 0 0
d 2.554, I 26, hkl 0 0 4
d 3.725, I 20, hkl 1 0 2
d 1.444, I 18, hkl 2 0 6
d 1.863, I 17, hkl 2 0 4
d 1.572, I 17, hkl 2 2 0
d 2.677, I 9, hkl 1 1 2
d 4.805, I 9, hkl 1 0 1
d 5.108, I 8, hkl 0 0 2
d 2.312, I 7, hkl 1 0 4